(1)
Structure and theoretical PXRD pattern of Pa4P6Ru7 (a structure optimized by DFT (GGA-PBE); Cu Ka).

Structural model:
```
data_Pa4P6Ru7
_space_group_name_H-M_alt 'I m -3 m'
_space_group_IT_number 229
_space_group_name_Hall '-I 4 2 3'
_cell_length_a 8.1902
_cell_length_b 8.1902
_cell_length_c 8.1902
_cell_angle_alpha 90.00
_cell_angle_beta 90.00
_cell_angle_gamma 90.00
loop_
_atom_site_label
_atom_site_type_symbol
_atom_site_fract_x
_atom_site_fract_y
_atom_site_fract_z
Pa1 Pa 0.2500 0.2500 0.2500
P1 P 0.0000 0.0000 0.3129
Ru1 Ru 0.0000 0.0000 0.0000
Ru2 Ru 0.0000 0.2500 0.5000
```

Peak list (12 most intense, 10° ≤ 2θ ≤ 80°, by angle)
21.7 deg, d = 4.095 Å, I 32, hkl 2 0 0; 26.7 deg, d = 3.344 Å, I 15, hkl 2 1 1; 30.9 deg, d = 2.896 Å, I 65, hkl 2 2 0; 38.1 deg, d = 2.364 Å, I 100, hkl 2 2 2; 41.2 deg, d = 2.189 Å, I 18, hkl 3 2 1; 44.2 deg, d = 2.048 Å, I 62, hkl 4 0 0; 49.8 deg, d = 1.831 Å, I 20, hkl 4 2 0; 54.9 deg, d = 1.672 Å, I 23, hkl 4 2 2; 64.3 deg, d = 1.448 Å, I 38, hkl 4 4 0; 68.8 deg, d = 1.365 Å, I 11, hkl 4 4 2; 73.1 deg, d = 1.295 Å, I 15, hkl 6 2 0; 77.3 deg, d = 1.235 Å, I 34, hkl 6 2 2

(2)
Structure and theoretical PXRD pattern of Tb2SmGa9 (a structure optimized by DFT (GGA-PBE); Cu Ka).

Structural model:
```
data_Tb2SmGa9
_space_group_name_H-M_alt 'P 4/m m m'
_space_group_IT_number 123
_space_group_name_Hall '-P 4 2'
_cell_length_a 4.3040
_cell_length_b 4.3040
_cell_length_c 12.9078
_cell_angle_alpha 90.00
_cell_angle_beta 90.00
_cell_angle_gamma 90.00
loop_
_atom_site_label
_atom_site_type_symbol
_atom_site_fract_x
_atom_site_fract_y
_atom_site_fract_z
Tb1 Tb 0.0000 0.0000 0.1654
Sm1 Sm 0.0000 0.0000 0.5000
Ga1 Ga 0.0000 0.5000 0.0000
Ga2 Ga 0.0000 0.5000 0.3310
Ga3 Ga 0.5000 0.5000 0.1665
Ga4 Ga 0.5000 0.5000 0.5000
```

Peak list (11 most intense, 10° ≤ 2θ ≤ 80°, by angle)
20.6 deg, d = 4.304 Å, I 14, hkl 1 0 0; 29.4 deg, d = 3.043 Å, I 12, hkl 1 1 0; 36.2 deg, d = 2.485 Å, I 100, hkl 1 1 3; 42.0 deg, d = 2.152 Å, I 49, hkl 2 0 0; 47.2 deg, d = 1.925 Å, I 7, hkl 2 1 0; 52.1 deg, d = 1.757 Å, I 5, hkl 1 1 6; 60.9 deg, d = 1.522 Å, I 32, hkl 2 2 0; 65.0 deg, d = 1.435 Å, I 3, hkl 0 0 9; 69.0 deg, d = 1.361 Å, I 2, hkl 3 1 0; 72.9 deg, d = 1.298 Å, I 37, hkl 3 1 3; 76.7 deg, d = 1.242 Å, I 11, hkl 2 2 6

(3)
Structure and theoretical PXRD pattern of Rb3AlF7 (a structure optimized by DFT (GGA-PBE); Cu Ka).

Structural model:
```
data_Rb3AlF7
_space_group_name_H-M_alt 'P 4/m b m'
_space_group_IT_number 127
_space_group_name_Hall '-P 4 2ab'
_cell_length_a 8.1250
_cell_length_b 8.1250
_cell_length_c 5.9850
_cell_angle_alpha 90.00
_cell_angle_beta 90.00
_cell_angle_gamma 90.00
loop_
_atom_site_label
_atom_site_type_symbol
_atom_site_fract_x
_atom_site_fract_y
_atom_site_fract_z
Rb1 Rb 0.0000 0.0000 0.0000
Rb2 Rb 0.1885 0.3115 0.5000
Al1 Al 0.0000 0.5000 0.0000
F1 F 0.0000 0.0000 0.5000
F2 F 0.1105 0.6105 0.2202
F3 F 0.1580 0.3420 0.0000
```

Peak list (12 most intense, 10° ≤ 2θ ≤ 80°, by angle)
24.5 deg, d = 3.634 Å, I 25, hkl 2 1 0; 26.5 deg, d = 3.361 Å, I 100, hkl 2 0 1; 28.7 deg, d = 3.106 Å, I 32, hkl 2 1 1; 29.9 deg, d = 2.992 Å, I 33, hkl 0 0 2; 31.1 deg, d = 2.873 Å, I 43, hkl 2 2 0; 34.9 deg, d = 2.569 Å, I 42, hkl 3 1 0; 39.0 deg, d = 2.310 Å, I 59, hkl 2 1 2; 43.7 deg, d = 2.072 Å, I 31, hkl 2 2 2; 46.1 deg, d = 1.971 Å, I 21, hkl 4 1 0; 46.6 deg, d = 1.949 Å, I 17, hkl 3 1 2; 48.6 deg, d = 1.872 Å, I 16, hkl 4 1 1; 55.9 deg, d = 1.646 Å, I 16, hkl 4 1 2

(4)
Structure and theoretical PXRD pattern of Er3Th4Sc2 (a structure optimized by DFT (GGA-PBE); Cu Ka).

Structural model:
```
data_Er3Th4Sc2
_space_group_name_H-M_alt 'C 1 2/c 1'
_space_group_IT_number 15
_cell_length_a 16.0553
_cell_length_b 10.1981
_cell_length_c 6.8378
_cell_angle_alpha 90.00
_cell_angle_beta 101.90
_cell_angle_gamma 90.00
loop_
_space_group_symop_operation_xyz
'x,y,z'
'-x,-y,-z'
'-x,y,-z+1/2'
'x,-y,z+1/2'
'x+1/2,y+1/2,z'
'-x+1/2,-y+1/2,-z'
'-x+1/2,y+1/2,-z+1/2'
'x+1/2,-y+1/2,z+1/2'
loop_
_atom_site_label
_atom_site_type_symbol
_atom_site_fract_x
_atom_site_fract_y
_atom_site_fract_z
Er1 Er 0.0000 0.0177 0.2500
Er2 Er 0.1643 0.4943 0.8284
Th1 Th 0.0005 0.3216 0.0021
Th2 Th 0.1708 0.1615 0.8384
Sc1 Sc 0.1773 0.1802 0.3368
```

Peak list (12 most intense, 10° ≤ 2θ ≤ 80°, by angle)
15.9 deg, d = 5.583 Å, I 11, hkl 1 1 -1; 31.1 deg, d = 2.872 Å, I 24, hkl 2 0 2; 31.4 deg, d = 2.852 Å, I 100, hkl 3 3 0; 32.0 deg, d = 2.795 Å, I 16, hkl 0 2 2; 34.2 deg, d = 2.618 Å, I 31, hkl 6 0 0; 37.3 deg, d = 2.411 Å, I 30, hkl 1 3 -2; 51.4 deg, d = 1.778 Å, I 12, hkl 5 3 2; 51.7 deg, d = 1.769 Å, I 12, hkl 7 3 -2; 53.6 deg, d = 1.710 Å, I 14, hkl 2 0 -4; 59.5 deg, d = 1.553 Å, I 12, hkl 9 3 0; 63.6 deg, d = 1.463 Å, I 17, hkl 5 3 -4; 65.4 deg, d = 1.426 Å, I 14, hkl 8 0 -4

(5)
Structure and theoretical PXRD pattern of Mg2Zn3Ru (a structure optimized by DFT (GGA-PBE); Cu Ka).

Structural model:
```
data_Mg2Zn3Ru
_space_group_name_H-M_alt 'C 1 2/m 1'
_space_group_IT_number 12
_cell_length_a 8.8667
_cell_length_b 5.1077
_cell_length_c 5.2152
_cell_angle_alpha 90.00
_cell_angle_beta 124.33
_cell_angle_gamma 90.00
loop_
_space_group_symop_operation_xyz
'x,y,z'
'-x,-y,-z'
'-x,y,-z'
'x,-y,z'
'x+1/2,y+1/2,z'
'-x+1/2,-y+1/2,-z'
'-x+1/2,y+1/2,-z'
'x+1/2,-y+1/2,z'
loop_
_atom_site_label
_atom_site_type_symbol
_atom_site_fract_x
_atom_site_fract_y
_atom_site_fract_z
Mg1 Mg 0.1348 0.0000 0.4049
Zn1 Zn 0.0000 0.5000 0.0000
Zn2 Zn 0.2500 0.2500 0.0000
Ru1 Ru 0.0000 0.5000 0.5000
```

Peak list (12 most intense, 10° ≤ 2θ ≤ 80°, by angle)
21.2 deg, d = 4.189 Å, I 100, hkl 1 1 0; 40.5 deg, d = 2.230 Å, I 24, hkl 1 1 -2; 41.0 deg, d = 2.202 Å, I 28, hkl 3 1 0; 41.1 deg, d = 2.197 Å, I 56, hkl 0 2 1; 41.4 deg, d = 2.181 Å, I 12, hkl 2 2 -1; 42.0 deg, d = 2.153 Å, I 32, hkl 0 0 2; 43.2 deg, d = 2.095 Å, I 75, hkl 2 2 0; 50.0 deg, d = 1.824 Å, I 24, hkl 2 2 -2; 55.3 deg, d = 1.660 Å, I 14, hkl 5 1 -2; 67.1 deg, d = 1.396 Å, I 16, hkl 6 0 -3; 72.4 deg, d = 1.306 Å, I 14, hkl 2 2 2; 74.1 deg, d = 1.279 Å, I 13, hkl 6 2 -2